For Cs5CaNi4F15, a structure optimized by DFT (PBE+U) gives the theoretical powder diffraction line list in this record (λ = 1.5418 Å (Cu Kα)).
Lines closer than 0.1° are merged.

Structure:
Unit cell a=6.3084 b=6.3084 c=25.5683 alpha=90.00 beta=90.00 gamma=120.00
Space group P6_3/mmc (No. 194)
Inequivalent atoms, fractional coordinates:
Cs 0.0000 0.0000 0.1549 [4 per cell]
Cs 0.3333 0.6667 0.0582 [4 per cell]
Cs 0.3333 0.6667 0.2500 [2 per cell]
Ca 0.0000 0.0000 0.0000 [2 per cell]
Ni 0.3333 0.6667 0.5909 [4 per cell]
Ni 0.3333 0.6667 0.6973 [4 per cell]
F 0.0508 0.5254 0.6470 [12 per cell]
F 0.1743 0.3487 0.5498 [12 per cell]
F 0.1922 0.3844 0.7500 [6 per cell]

Main lines, sorted by position (10 to 90 degrees two-theta):
Position (°2θ), intensity
23.83, 29
26.53, 55
28.29, 100
37.32, 26
39.17, 36
49.02, 18
50.09, 19
58.53, 22